Diffraction record for Ba2CaZn. The X-ray powder pattern is calculated, not measured: it uses a structure optimized by DFT (GGA-PBE) and Cu Kα (weighted mean of Kα1 and Kα2).

Crystal structure
a = 4.262 Å, b = 7.833 Å, c = 7.833 Å
α = 44.07°, β = 90.00°, γ = 90.00°
Fractional positions:
Ba (0.000, 0.000, 0.000)
Ba (0.500, 0.311, 0.311)
Ca (0.000, 0.687, 0.687)
Zn (0.500, 0.538, 0.538)

The 10 most intense peaks (10 to 90 degrees two-theta), by angle:
d (Å)  2θ/deg  I_rel
3.736  23.82  55.4
3.676  24.21  21.1
3.630  24.52  21.6
3.357  26.56  100.0
2.938  30.42  33.3
2.809  31.85  20.7
2.764  32.40  24.2
2.222  40.60  31.6
2.013  45.03  18.9
1.767  51.75  15.5